1.
# Li4Cd6Ga
Theoretical X-ray powder pattern, CuKα. Input: a structure optimized by DFT (GGA-PBE).

Crystal structure
```
Li4Cd6Ga
1.0
-2.8406 2.8406 7.2675
2.8406 -2.8406 7.2675
2.8406 2.8406 -7.2675
Li Cd Ga
4 6 1
Cartesian
1.7570 -1.7570 4.9371
1.0836 1.0836 2.3305
-1.7570 1.7570 4.9371
1.7570 1.7570 9.5980
2.8406 0.0000 0.0000
1.7755 1.7755 -2.1545
1.0650 -1.0650 9.4220
0.0000 2.8406 0.0000
1.0650 1.0650 5.1130
-1.0650 1.0650 9.4220
0.0000 0.0000 0.0000
```

Main lines, low angle first (10° ≤ 2θ ≤ 90°):
| 2theta | I/Imax |
| --- | --- |
| 12.18 | 21.7 |
| 24.14 | 37.6 |
| 25.33 | 100.0 |
| 33.25 | 26.7 |
| 33.88 | 47.6 |
| 35.88 | 42.2 |
| 37.11 | 26.0 |
| 40.30 | 61.3 |
| 45.14 | 19.0 |
| 47.53 | 22.3 |


2.
# Rb7TlO2
Theoretical X-ray powder pattern, CuKα. Input: a structure optimized by DFT (GGA-PBE).

Crystal structure
```
Rb7TlO2
1.0
4.5469 -7.8760 0.0000
4.5469 7.8760 0.0000
0.0000 0.0000 5.7354
Rb Tl O
7 1 2
Cartesian
0.0000 0.0000 0.0000
2.8027 2.3529 0.0000
4.5469 4.8428 2.8677
2.8027 -2.3529 0.0000
6.2910 2.3529 0.0000
4.5469 -4.8428 2.8677
6.2910 -2.3529 0.0000
4.5469 0.0000 2.8677
4.5469 4.8171 0.0000
4.5469 -4.8171 0.0000
```

Main lines, low angle first (10° ≤ 2θ ≤ 90°):
| 2theta | I/Imax |
| --- | --- |
| 19.14 | 15.1 |
| 24.99 | 100.0 |
| 27.47 | 17.5 |
| 30.02 | 23.6 |
| 31.19 | 24.8 |
| 33.93 | 22.9 |
| 34.15 | 31.4 |
| 43.84 | 16.3 |
| 46.92 | 25.2 |
| 55.85 | 18.6 |


3.
# Li3PuSn3
Theoretical X-ray powder pattern, CuKα. Input: a structure optimized by DFT (GGA-PBE).

Crystal structure
```
Li3PuSn3
1.0
7.1390 0.0000 0.0000
0.0000 7.1390 0.0000
0.0000 0.0000 7.1390
Li Pu Sn
6 2 6
Cartesian
0.0000 1.7848 3.5695
0.0000 5.3543 3.5695
1.7848 3.5695 0.0000
3.5695 0.0000 1.7848
3.5695 0.0000 5.3543
5.3543 3.5695 0.0000
0.0000 0.0000 0.0000
3.5695 3.5695 3.5695
0.0000 3.5695 1.7848
0.0000 3.5695 5.3543
1.7848 0.0000 3.5695
3.5695 1.7848 0.0000
3.5695 5.3543 0.0000
5.3543 0.0000 3.5695
```

Main lines, low angle first (10° ≤ 2θ ≤ 90°):
| 2theta | I/Imax |
| --- | --- |
| 17.57 | 16.1 |
| 24.95 | 41.9 |
| 27.95 | 53.0 |
| 30.68 | 100.0 |
| 47.66 | 60.9 |
| 51.18 | 18.0 |
| 57.75 | 17.4 |
| 60.86 | 15.0 |
| 72.52 | 18.1 |
| 83.47 | 19.3 |


4.
# Ac8Tb2Pm3
Theoretical X-ray powder pattern, CuKα. Input: a structure optimized by DFT (GGA-PBE).

Crystal structure
```
Ac8Tb2Pm3
1.0
6.6704 0.0000 0.0000
1.1170 8.5531 0.0000
1.1264 4.1768 9.2065
Ac Tb Pm
8 2 3
Cartesian
1.0916 3.7831 1.8263
2.2686 5.3330 8.1094
2.2652 2.7715 5.2904
4.4986 10.2791 8.8677
4.4152 2.4508 0.3387
6.6486 9.9584 3.9160
6.6452 7.3969 1.0971
7.8222 8.9468 7.3802
3.2957 8.6314 2.5599
5.6181 4.0985 6.6466
1.1217 6.3649 4.6032
4.4557 7.5872 5.9445
4.4581 5.1427 3.2620
```

Main lines, low angle first (10° ≤ 2θ ≤ 90°):
| 2theta | I/Imax |
| --- | --- |
| 28.38 | 100.0 |
| 32.89 | 51.3 |
| 47.13 | 12.7 |
| 47.23 | 25.2 |
| 55.89 | 7.7 |
| 55.98 | 26.7 |
| 56.09 | 11.2 |
| 58.75 | 9.9 |
| 78.54 | 7.1 |
| 87.77 | 6.6 |


5.
# Ca6Os3O14
Theoretical X-ray powder pattern, CuKα. Input: a structure optimized by DFT (GGA-PBE).

Crystal structure
```
Ca6Os3O14
1.0
8.3231 0.0000 0.0000
-4.1616 7.2081 0.0000
0.0000 0.0000 5.3707
Ca Os O
6 3 14
Cartesian
-1.8587 3.2836 0.0000
1.5922 1.4245 2.4756
-0.3885 7.1759 0.0000
2.2472 3.9565 0.0000
6.2934 0.6666 2.4756
4.5991 5.1169 2.4756
0.0000 0.0000 0.0245
0.0000 4.8054 2.9343
4.1616 2.4027 3.3410
0.0000 0.0000 3.5703
-0.2932 1.5889 0.9856
-2.6390 6.6675 0.9856
-1.4709 5.4847 3.7858
0.1471 3.1918 3.7858
0.0000 4.8054 1.1164
2.6522 1.7693 4.5070
3.9618 0.7748 2.1879
1.3238 5.7396 3.7858
2.8517 3.3897 2.1879
5.4648 1.4122 4.5070
2.9322 6.1597 0.9856
4.3678 4.0265 4.5070
5.6713 3.0436 2.1879
```

Main lines, low angle first (10° ≤ 2θ ≤ 90°):
| 2theta | I/Imax |
| --- | --- |
| 20.62 | 82.3 |
| 21.35 | 100.0 |
| 27.11 | 27.9 |
| 29.86 | 85.5 |
| 37.00 | 46.7 |
| 37.43 | 22.1 |
| 39.96 | 28.9 |
| 43.49 | 33.1 |
| 55.90 | 26.2 |
| 57.47 | 21.4 |


6.
# SeClF3
Theoretical X-ray powder pattern, CuKα. Input: a structure optimized by DFT (GGA-PBE).

Crystal structure
```
SeClF3
1.0
6.2168 0.0000 0.0000
0.0000 6.2168 0.0000
0.0000 0.0000 11.1458
Se Cl F
4 4 12
Cartesian
0.8978 2.1814 0.0000
2.1814 5.3190 8.3593
4.0354 0.8978 2.7864
5.3190 4.0354 5.5729
0.6228 3.9365 1.2170
2.2803 0.6228 4.0035
3.9365 5.5940 9.5764
5.5940 2.2803 6.7899
0.1200 5.0836 6.7819
0.5704 3.8575 4.6300
1.1331 0.1200 9.5683
1.7746 3.1944 9.8147
2.3593 0.5704 7.4164
3.0223 1.7746 1.4553
3.1944 4.4422 7.0282
3.8575 5.6463 1.8435
4.4422 3.0223 4.2418
5.0836 6.0968 3.9954
5.6463 2.3593 10.2029
6.0968 1.1331 1.2090
```

Main lines, low angle first (10° ≤ 2θ ≤ 90°):
| 2theta | I/Imax |
| --- | --- |
| 16.33 | 100.0 |
| 20.20 | 32.5 |
| 21.41 | 96.3 |
| 21.73 | 74.6 |
| 25.81 | 28.3 |
| 27.98 | 31.1 |
| 29.84 | 53.3 |
| 40.53 | 47.8 |
| 46.13 | 56.1 |
| 65.86 | 18.4 |